[1]
Starting from DFT lattice parameters and positions (PBE), the XRD peak list of CeHg2 was calculated for λ = 1.5418 Å (Cu Kα).

Atomic structure:
```
data_CeHg2
_space_group_name_H-M_alt 'P 1'
_space_group_IT_number 1
_space_group_name_Hall 'P 1'
_cell_length_a 5.0922
_cell_length_b 5.0922
_cell_length_c 3.4023
_cell_angle_alpha 90.00
_cell_angle_beta 90.00
_cell_angle_gamma 120.00
loop_
_atom_site_label
_atom_site_fract_x
_atom_site_fract_y
_atom_site_fract_z
Ce1 0.0000 0.0000 0.0000
Hg1 0.3333 0.6667 0.5000
Hg2 0.6667 0.3333 0.5000
```

Most intense lines, 10° ≤ 2θ ≤ 90°, low angle first:
- 2θ = 26.19°, 3.402 Å, rel. 16
- 2θ = 33.26°, 2.694 Å, rel. 92
- 2θ = 35.25°, 2.546 Å, rel. 100
- 2θ = 44.44°, 2.039 Å, rel. 25
- 2θ = 49.24°, 1.850 Å, rel. 31
- 2θ = 62.00°, 1.497 Å, rel. 31
- 2θ = 63.26°, 1.470 Å, rel. 19
- 2θ = 66.05°, 1.414 Å, rel. 33
- 2θ = 84.10°, 1.151 Å, rel. 14
- 2θ = 87.75°, 1.112 Å, rel. 16

[2]
Starting from DFT lattice parameters and positions (PBE), the XRD peak list of GdI3O9 was calculated for λ = 1.5418 Å (Cu Kα).

Atomic structure:
```
data_GdI3O9
_space_group_name_H-M_alt 'P 1'
_space_group_IT_number 1
_space_group_name_Hall 'P 1'
_cell_length_a 7.2865
_cell_length_b 8.6611
_cell_length_c 13.6381
_cell_angle_alpha 90.00
_cell_angle_beta 100.34
_cell_angle_gamma 90.00
loop_
_atom_site_label
_atom_site_fract_x
_atom_site_fract_y
_atom_site_fract_z
Gd1 0.1733 0.2453 0.1454
Gd2 0.1733 0.2547 0.6454
Gd3 0.8267 0.7453 0.3546
Gd4 0.8267 0.7547 0.8546
I1 0.1678 0.7062 0.1104
I2 0.1678 0.7938 0.6104
I3 0.2666 0.0202 0.8905
I4 0.2666 0.4798 0.3905
I5 0.3319 0.5436 0.8569
I6 0.3319 0.9564 0.3569
I7 0.6681 0.0436 0.6431
I8 0.6681 0.4564 0.1431
I9 0.7334 0.5202 0.6095
I10 0.7334 0.9798 0.1095
I11 0.8322 0.2062 0.3896
I12 0.8322 0.2938 0.8896
O1 0.0208 0.5278 0.3865
O2 0.0208 0.9722 0.8865
O3 0.0327 0.1691 0.4883
O4 0.0327 0.3309 0.9883
O5 0.1477 0.6890 0.8234
O6 0.1477 0.8110 0.3234
O7 0.1615 0.5280 0.1823
O8 0.1615 0.9720 0.6823
O9 0.2311 0.2072 0.8248
O10 0.2311 0.2928 0.3248
O11 0.3211 0.0779 0.0208
O12 0.3211 0.4221 0.5208
O13 0.3385 0.0320 0.2320
O14 0.3385 0.4680 0.7320
O15 0.3608 0.6657 0.0453
O16 0.3608 0.8343 0.5453
O17 0.4718 0.1743 0.6370
O18 0.4718 0.3257 0.1370
O19 0.5282 0.6743 0.8630
O20 0.5282 0.8257 0.3630
O21 0.6392 0.1657 0.4547
O22 0.6392 0.3343 0.9547
O23 0.6615 0.5320 0.2680
O24 0.6615 0.9680 0.7680
O25 0.6789 0.5779 0.4792
O26 0.6789 0.9221 0.9792
O27 0.7689 0.7072 0.6752
O28 0.7689 0.7928 0.1752
O29 0.8385 0.0280 0.3177
O30 0.8385 0.4720 0.8177
O31 0.8523 0.1890 0.6766
O32 0.8523 0.3110 0.1766
O33 0.9673 0.6691 0.0117
O34 0.9673 0.8309 0.5117
O35 0.9792 0.0278 0.1135
O36 0.9792 0.4722 0.6135
```

Most intense lines, 10° ≤ 2θ ≤ 90°, low angle first:
- 2θ = 24.01°, 3.707 Å, rel. 25
- 2θ = 24.84°, 3.584 Å, rel. 41
- 2θ = 25.52°, 3.491 Å, rel. 25
- 2θ = 26.00°, 3.427 Å, rel. 40
- 2θ = 26.37°, 3.380 Å, rel. 90
- 2θ = 26.59°, 3.353 Å, rel. 80
- 2θ = 28.57°, 3.124 Å, rel. 100
- 2θ = 30.31°, 2.949 Å, rel. 19
- 2θ = 43.25°, 2.092 Å, rel. 31
- 2θ = 49.52°, 1.841 Å, rel. 20

[3]
Starting from DFT lattice parameters and positions (PBE), the XRD peak list of Mg4SiGe was calculated for λ = 1.5418 Å (Cu Kα).

Atomic structure:
```
data_Mg4SiGe
_space_group_name_H-M_alt 'P 1'
_space_group_IT_number 1
_space_group_name_Hall 'P 1'
_cell_length_a 4.5244
_cell_length_b 4.5244
_cell_length_c 6.3868
_cell_angle_alpha 90.00
_cell_angle_beta 90.00
_cell_angle_gamma 90.00
loop_
_atom_site_label
_atom_site_fract_x
_atom_site_fract_y
_atom_site_fract_z
Mg1 0.0000 0.5000 0.2493
Mg2 0.0000 0.5000 0.7507
Mg3 0.5000 0.0000 0.2493
Mg4 0.5000 0.0000 0.7507
Si1 0.0000 0.0000 0.0000
Ge1 0.5000 0.5000 0.5000
```

Most intense lines, 10° ≤ 2θ ≤ 90°, low angle first:
- 2θ = 13.87°, 6.387 Å, rel. 10
- 2θ = 19.62°, 4.524 Å, rel. 10
- 2θ = 24.11°, 3.692 Å, rel. 66
- 2θ = 39.87°, 2.261 Å, rel. 100
- 2θ = 47.14°, 1.928 Å, rel. 31
- 2θ = 57.62°, 1.600 Å, rel. 11
- 2θ = 63.40°, 1.467 Å, rel. 12
- 2θ = 72.40°, 1.305 Å, rel. 32
- 2θ = 77.54°, 1.231 Å, rel. 7
- 2θ = 86.00°, 1.130 Å, rel. 10

[4]
Starting from DFT lattice parameters and positions (PBE), the XRD peak list of Ba4La4Cu4B3O18 was calculated for λ = 1.5418 Å (Cu Kα).

Atomic structure:
```
data_Ba4La4Cu4B3O18
_space_group_name_H-M_alt 'P 1'
_space_group_IT_number 1
_space_group_name_Hall 'P 1'
_cell_length_a 7.7572
_cell_length_b 8.1462
_cell_length_c 7.7547
_cell_angle_alpha 90.00
_cell_angle_beta 90.00
_cell_angle_gamma 90.00
loop_
_atom_site_label
_atom_site_fract_x
_atom_site_fract_y
_atom_site_fract_z
Ba1 0.2422 0.2467 0.0000
Ba2 0.2422 0.7533 0.0000
Ba3 0.7578 0.2467 0.0000
Ba4 0.7578 0.7533 0.0000
La1 0.2525 0.2646 0.4814
La2 0.2525 0.7354 0.4814
La3 0.7475 0.2646 0.4814
La4 0.7475 0.7354 0.4814
Cu1 0.0000 0.0000 0.2548
Cu2 0.0000 0.5000 0.2712
Cu3 0.5000 0.0000 0.2915
Cu4 0.5000 0.5000 0.2539
B1 0.0000 0.5000 0.7566
B2 0.5000 0.0000 0.7618
B3 0.5000 0.5000 0.7608
O1 0.0000 0.0000 0.9769
O2 0.0000 0.2563 0.2838
O3 0.0000 0.3475 0.6708
O4 0.0000 0.5000 0.9355
O5 0.0000 0.6525 0.6708
O6 0.0000 0.7437 0.2838
O7 0.2495 0.5000 0.2891
O8 0.2508 0.0000 0.3414
O9 0.3443 0.5000 0.6719
O10 0.5000 0.0000 0.9408
O11 0.5000 0.1502 0.6749
O12 0.5000 0.2536 0.2794
O13 0.5000 0.5000 0.9400
O14 0.5000 0.7464 0.2794
O15 0.5000 0.8498 0.6749
O16 0.6557 0.5000 0.6719
O17 0.7492 0.0000 0.3414
O18 0.7505 0.5000 0.2891
```

Most intense lines, 10° ≤ 2θ ≤ 90°, low angle first:
- 2θ = 11.41°, 7.755 Å, rel. 19
- 2θ = 21.82°, 4.073 Å, rel. 18
- 2θ = 22.93°, 3.878 Å, rel. 31
- 2θ = 31.86°, 2.809 Å, rel. 100
- 2θ = 32.66°, 2.742 Å, rel. 53
- 2θ = 39.62°, 2.275 Å, rel. 31
- 2θ = 44.49°, 2.037 Å, rel. 14
- 2θ = 46.85°, 1.939 Å, rel. 22
- 2θ = 56.27°, 1.635 Å, rel. 19
- 2θ = 57.78°, 1.596 Å, rel. 35

[5]
Starting from DFT lattice parameters and positions (PBE), the XRD peak list of NaMg6Al6Si6O30 was calculated for λ = 1.5418 Å (Cu Kα).

Atomic structure:
```
data_NaMg6Al6Si6O30
_space_group_name_H-M_alt 'P 1'
_space_group_IT_number 1
_space_group_name_Hall 'P 1'
_cell_length_a 10.9404
_cell_length_b 10.9404
_cell_length_c 10.9404
_cell_angle_alpha 113.81
_cell_angle_beta 113.81
_cell_angle_gamma 113.81
loop_
_atom_site_label
_atom_site_fract_x
_atom_site_fract_y
_atom_site_fract_z
Na1 0.0000 0.0000 0.0000
Mg1 0.1605 0.5416 0.8389
Mg2 0.1605 0.8389 0.5416
Mg3 0.5416 0.1605 0.8389
Mg4 0.5416 0.8389 0.1605
Mg5 0.8389 0.1605 0.5416
Mg6 0.8389 0.5416 0.1605
Al1 0.1605 0.3323 0.9751
Al2 0.1605 0.9751 0.3323
Al3 0.3323 0.1605 0.9751
Al4 0.3323 0.9751 0.1605
Al5 0.9751 0.1605 0.3323
Al6 0.9751 0.3323 0.1605
Si1 0.3783 0.5540 0.7242
Si2 0.3783 0.7242 0.5540
Si3 0.5540 0.3783 0.7242
Si4 0.5540 0.7242 0.3783
Si5 0.7242 0.3783 0.5540
Si6 0.7242 0.5540 0.3783
O1 0.0249 0.0249 0.3157
O2 0.0249 0.3157 0.0249
O3 0.0690 0.3117 0.7872
O4 0.0690 0.7872 0.3117
O5 0.1621 0.3764 0.5532
O6 0.1621 0.5532 0.3764
O7 0.1626 0.1626 0.9403
O8 0.1626 0.9403 0.1626
O9 0.3117 0.0690 0.7872
O10 0.3117 0.7872 0.0690
O11 0.3157 0.0249 0.0249
O12 0.3764 0.1621 0.5532
O13 0.3764 0.5532 0.1621
O14 0.4015 0.6475 0.9012
O15 0.4015 0.9012 0.6475
O16 0.4479 0.6942 0.6942
O17 0.5022 0.5022 0.7516
O18 0.5022 0.7516 0.5022
O19 0.5532 0.1621 0.3764
O20 0.5532 0.3764 0.1621
O21 0.6475 0.4015 0.9012
O22 0.6475 0.9012 0.4015
O23 0.6942 0.4479 0.6942
O24 0.6942 0.6942 0.4479
O25 0.7516 0.5022 0.5022
O26 0.7872 0.0690 0.3117
O27 0.7872 0.3117 0.0690
O28 0.9012 0.4015 0.6475
O29 0.9012 0.6475 0.4015
O30 0.9403 0.1626 0.1626
```

Most intense lines, 10° ≤ 2θ ≤ 90°, low angle first:
- 2θ = 12.02°, 7.364 Å, rel. 15
- 2θ = 18.23°, 4.865 Å, rel. 9
- 2θ = 19.37°, 4.583 Å, rel. 100
- 2θ = 22.11°, 4.021 Å, rel. 45
- 2θ = 22.86°, 3.891 Å, rel. 10
- 2θ = 26.08°, 3.417 Å, rel. 10
- 2θ = 33.22°, 2.697 Å, rel. 15
- 2θ = 33.88°, 2.646 Å, rel. 22
- 2θ = 36.07°, 2.490 Å, rel. 10
- 2θ = 47.51°, 1.914 Å, rel. 13